(1)
This entry pairs a crystal structure of Sc6Mn6P with its calculated powder XRD pattern. Radiation: Cu Kα. Structure: the GGA-PBE geometry in Alexandria.
Neutral-atom scattering factors, no anomalous dispersion.

Structure:
```
Sc6Mn6P
1.0
2.8250 -4.2932 0.0000
2.8250 4.2932 0.0000
0.0000 0.0000 9.4598
Sc Mn P
6 6 1
Direct
0.0000 0.0000 0.2131 Sc
0.0000 0.0000 0.7869 Sc
0.3138 0.6862 0.5000 Sc
0.3197 0.6803 0.0000 Sc
0.6803 0.3197 0.0000 Sc
0.6862 0.3138 0.5000 Sc
0.0000 0.5000 0.2469 Mn
0.0000 0.5000 0.7531 Mn
0.5000 0.0000 0.2469 Mn
0.5000 0.0000 0.7531 Mn
0.5000 0.5000 0.2486 Mn
0.5000 0.5000 0.7514 Mn
0.0000 0.0000 0.5000 P
```

Largest 8 diffraction maxima, sorted by position, 2θ from 10° to 90°:
2θ/deg  d/Å  intensity
18.8  4.728  43
37.1  2.425  17
38.1  2.363  79
40.1  2.247  25
42.1  2.147  19
42.8  2.112  100
46.5  1.955  24
55.0  1.670  15

(2)
This entry pairs a crystal structure of PmY2Zn3 with its calculated powder XRD pattern. Radiation: Cu Kα. Structure: the GGA-PBE geometry in Alexandria.
Neutral-atom scattering factors, no anomalous dispersion.

Structure:
```
PmY2Zn3
1.0
3.6046 0.0000 0.0000
0.0000 3.6046 0.0000
0.0000 0.0000 10.8484
Pm Y Zn
1 2 3
Direct
0.0000 0.0000 0.0000 Pm
0.0000 0.0000 0.3356 Y
0.0000 0.0000 0.6644 Y
0.5000 0.5000 0.1750 Zn
0.5000 0.5000 0.5000 Zn
0.5000 0.5000 0.8250 Zn
```

Largest 8 diffraction maxima, sorted by position, 2θ from 10° to 90°:
2θ/deg  d/Å  intensity
24.7  3.609  6
35.2  2.552  100
50.5  1.808  6
50.6  1.802  12
63.0  1.475  11
63.1  1.472  23
74.3  1.276  7
85.1  1.140  10